Starting from a crystal structure in Alexandria, relaxed with PBE, the powder X-ray diffraction pattern of Rb2NaBr4 was calculated for Cu Kα, 1.54184 Å.
Lines closer than 0.1° are merged.

Peak list (10 most intense, 2θ from 5° to 70°, low angle first)
2theta  I_rel  (hkl)
22.2  30  1 1 0
24.5  74  1 1 2
30.1  32  1 0 5
30.3  100  1 1 4
30.8  27  0 0 6
31.7  87  2 0 0
44.2  22  2 1 5
44.7  38  2 0 6
45.4  31  2 2 0
55.6  35  3 1 4

Crystal structure
a b c (Å): 5.654 5.654 17.443
angles (deg): 90.00 90.00 90.00
Space group I4/mmm (No. 139)
Asymmetric unit:
Rb1 0.000 0.000 0.133 (multiplicity 4)
Na1 0.000 0.000 0.500 (multiplicity 2)
Br1 0.000 0.000 0.329 (multiplicity 4)
Br2 0.000 0.500 0.000 (multiplicity 4)